1.
Computed powder X-ray diffraction pattern
Compound: NbSO2
Radiation: Cu Kα (λ = 1.5418 Å)
Structure: DFT lattice parameters and positions (GGA-PBE)
No peak broadening, texture or thermal motion is included.

Atomic structure:
```
8
Lattice="0.000 4.345 4.345 4.345 0.000 4.345 4.345 4.345 0.000" Properties=species:S:1:pos:R:3 pbc="T T T"
Nb 1.086 1.086 1.086
Nb 7.604 7.604 7.604
S 3.259 3.259 3.259
S 5.431 5.431 5.431
O 0.000 0.000 0.000
O 2.172 2.172 0.000
O 2.172 0.000 2.172
O 0.000 2.172 2.172
```

The 10 most intense peaks (2θ from 15° to 90°), sorted by position:
two_theta	d/Å	I (rel.)
17.68	5.017	50.2
29.06	3.072	100.0
34.22	2.620	5.8
41.57	2.172	10.2
45.50	1.994	12.4
51.52	1.774	37.4
60.24	1.536	16.9
63.32	1.469	8.5
68.26	1.374	15.6
83.19	1.161	18.2

=====

2.
Computed powder X-ray diffraction pattern
Compound: Th6HgRu3
Radiation: Cu Kα (λ = 1.5418 Å)
Structure: DFT lattice parameters and positions (GGA-PBE)
No peak broadening, texture or thermal motion is included.

Atomic structure:
```
20
Lattice="11.854 0.000 0.000 0.000 4.103 0.000 -3.489 0.000 11.689" Properties=species:S:1:pos:R:3 pbc="T T T"
Th -1.164 1.026 4.473
Th -1.936 1.026 11.175
Th 1.503 3.077 2.973
Th 0.858 3.077 8.922
Th 2.242 1.026 6.229
Th 4.625 3.077 1.032
Th 3.740 1.026 10.657
Th 6.123 3.077 5.460
Th 7.507 1.026 2.767
Th 6.862 1.026 8.716
Th 10.301 3.077 0.514
Th 9.529 3.077 7.216
Hg 4.172 1.026 3.588
Hg 4.193 3.077 8.101
Ru -0.162 1.026 1.890
Ru 0.374 3.077 5.707
Ru 0.918 1.026 10.741
Ru 7.447 3.077 0.948
Ru 7.991 1.026 5.983
Ru 8.527 3.077 9.799
```

The 10 most intense peaks (2θ from 15° to 90°), sorted by position:
two_theta	d/Å	I (rel.)
26.41	3.374	21.9
26.56	3.356	32.6
28.94	3.085	31.2
29.12	3.066	71.2
30.15	2.965	100.0
32.17	2.782	22.9
34.26	2.618	27.3
40.08	2.250	29.6
44.15	2.051	44.4
54.39	1.687	42.0

=====

3.
Computed powder X-ray diffraction pattern
Compound: MnSiRh
Radiation: Cu Kα (λ = 1.5418 Å)
Structure: DFT lattice parameters and positions (GGA-PBE)
No peak broadening, texture or thermal motion is included.

Atomic structure:
```
18
Lattice="6.314 0.000 0.000 0.000 3.615 0.000 -0.317 0.000 10.917" Properties=species:S:1:pos:R:3 pbc="T T T"
Mn 0.049 0.904 2.320
Mn 2.068 2.711 6.291
Mn 2.636 2.711 9.675
Mn 3.361 0.904 1.242
Mn 3.929 0.904 4.626
Mn 5.948 2.711 8.597
Si 1.467 2.711 0.966
Si 1.377 0.904 4.559
Si 1.494 0.904 8.229
Si 4.503 2.711 2.688
Si 4.620 2.711 6.358
Si 4.530 0.904 9.952
Rh -0.057 0.904 6.515
Rh 0.681 0.904 10.455
Rh 2.222 2.711 3.203
Rh 3.775 0.904 7.714
Rh 5.316 2.711 0.462
Rh 6.054 2.711 4.402
```

The 10 most intense peaks (2θ from 15° to 90°), sorted by position:
two_theta	d/Å	I (rel.)
37.58	2.393	100.0
37.84	2.377	85.9
38.14	2.359	78.0
41.08	2.197	30.1
41.45	2.178	39.9
41.77	2.162	51.6
43.19	2.095	31.5
44.29	2.045	41.3
45.09	2.011	30.5
50.51	1.807	71.8

=====

4.
Computed powder X-ray diffraction pattern
Compound: Sm8Se3
Radiation: Cu Kα (λ = 1.5418 Å)
Structure: DFT lattice parameters and positions (GGA-PBE)
No peak broadening, texture or thermal motion is included.

Atomic structure:
```
11
Lattice="2.680 1.547 12.329 -2.680 1.547 12.329 0.000 -3.095 12.329" Properties=species:S:1:pos:R:3 pbc="T T T"
Sm 0.000 0.000 1.661
Sm 0.000 0.000 5.264
Sm 0.000 0.000 11.864
Sm 0.000 0.000 15.575
Sm 0.000 0.000 21.411
Sm 0.000 0.000 25.122
Sm 0.000 0.000 31.722
Sm 0.000 0.000 35.325
Se 0.000 0.000 8.507
Se 0.000 0.000 18.493
Se 0.000 0.000 28.479
```

The 10 most intense peaks (2θ from 15° to 90°), sorted by position:
two_theta	d/Å	I (rel.)
30.91	2.893	8.0
32.89	2.723	86.4
33.43	2.680	100.0
47.61	1.910	30.7
58.38	1.581	9.4
59.42	1.555	31.6
59.77	1.547	18.8
70.24	1.340	11.6
78.86	1.214	8.6
79.76	1.202	13.5